No. 1
Diffraction record for Na3CuPCO7. The powder diffractogram is theoretical, not measured: it uses a structure optimized by DFT (PBE) and CuKα.

Crystal structure
a b c (Å): 5.290 6.519 9.056
angles (deg): 90.00 93.34 90.00
Space group P2_1/m (No. 11)
One atom of each set of equivalent atoms:
Na 0.217 0.250 0.084 (multiplicity 2)
Na 0.243 0.506 0.726 (multiplicity 4)
Cu 0.241 0.750 0.347 (multiplicity 2)
P 0.307 0.250 0.419 (multiplicity 2)
C 0.291 0.750 0.052 (multiplicity 2)
O 0.096 0.750 0.136 (multiplicity 2)
O 0.169 0.250 0.562 (multiplicity 2)
O 0.239 0.061 0.317 (multiplicity 4)
O 0.246 0.750 0.911 (multiplicity 2)
O 0.397 0.750 0.548 (multiplicity 2)
O 0.482 0.250 0.887 (multiplicity 2)

Main lines, low angle first (2θ from 10° to 90°):
Position (°2θ)	d (Å)	I_rel	h k l
16.77	5.288	23	0 1 1
18.96	4.680	32	1 0 -1
25.17	3.538	25	1 0 -2
27.36	3.260	61	0 2 0
33.50	2.675	40	1 2 -1
33.93	2.642	100	2 0 0
34.10	2.629	24	1 2 1
40.97	2.203	25	2 1 -2

No. 2
Diffraction record for Na6Cu2PC4O16. The powder diffractogram is theoretical, not measured: it uses a structure optimized by DFT (PBE) and CuKα.

Crystal structure
a b c (Å): 13.870 13.870 13.870
angles (deg): 90.00 90.00 90.00
Space group Fd-3 (No. 203, origin choice 2)
One atom of each set of equivalent atoms:
Na 0.085 0.375 0.375 (multiplicity 48)
Cu 0.000 0.000 0.500 (multiplicity 16)
P 0.125 0.125 0.125 (multiplicity 8)
C 0.032 0.032 0.718 (multiplicity 32)
O 0.021 0.102 0.779 (multiplicity 96)
O 0.060 0.060 0.060 (multiplicity 32)

Main lines, low angle first (2θ from 10° to 90°):
Position (°2θ)	d (Å)	I_rel	h k l
11.05	8.008	35	1 1 1
21.25	4.182	96	3 1 1
33.57	2.669	100	5 1 1
36.65	2.452	73	4 4 0
38.40	2.344	27	5 1 3
43.27	2.091	25	6 2 2
46.77	1.942	23	7 1 1
57.55	1.602	36	5 5 5

No. 3
Diffraction record for Na3CuCSO7. The powder diffractogram is theoretical, not measured: it uses a structure optimized by DFT (PBE) and CuKα.

Crystal structure
a b c (Å): 5.149 6.969 8.998
angles (deg): 90.00 90.12 90.00
Space group P2_1/m (No. 11)
One atom of each set of equivalent atoms:
Na 0.243 0.250 0.079 (multiplicity 2)
Na 0.247 0.008 0.742 (multiplicity 4)
Cu 0.236 0.750 0.364 (multiplicity 2)
C 0.264 0.750 0.059 (multiplicity 2)
S 0.298 0.250 0.409 (multiplicity 2)
O 0.037 0.750 0.122 (multiplicity 2)
O 0.184 0.250 0.561 (multiplicity 2)
O 0.215 0.077 0.322 (multiplicity 4)
O 0.283 0.750 0.914 (multiplicity 2)
O 0.409 0.750 0.576 (multiplicity 2)
O 0.472 0.750 0.141 (multiplicity 2)

Main lines, low angle first (2θ from 10° to 90°):
Position (°2θ)	d (Å)	I_rel	h k l
19.86	4.470	30	1 0 -1
25.56	3.485	70	0 2 0
26.30	3.389	34	1 0 -2
32.55	2.751	100	1 2 -1
34.60	2.592	30	1 0 -3
34.85	2.575	47	2 0 0
42.48	2.128	28	2 1 -2
48.15	1.890	30	0 2 4

No. 4
Diffraction record for Na2CuCSO7. The powder diffractogram is theoretical, not measured: it uses a structure optimized by DFT (PBE) and CuKα.

Crystal structure
a b c (Å): 5.172 7.079 8.788
angles (deg): 90.00 91.29 90.00
Space group P2_1/m (No. 11)
One atom of each set of equivalent atoms:
Na 0.231 0.000 0.266 (multiplicity 4)
Cu 0.234 0.250 0.854 (multiplicity 2)
C 0.274 0.250 0.576 (multiplicity 2)
S 0.287 0.750 0.922 (multiplicity 2)
O 0.059 0.250 0.652 (multiplicity 2)
O 0.166 0.750 0.076 (multiplicity 2)
O 0.213 0.579 0.836 (multiplicity 4)
O 0.276 0.250 0.433 (multiplicity 2)
O 0.420 0.250 0.053 (multiplicity 2)
O 0.481 0.250 0.664 (multiplicity 2)

Main lines, low angle first (2θ from 10° to 90°):
Position (°2θ)	d (Å)	I_rel	h k l
10.07	8.786	100	0 0 1
16.08	5.512	40	0 1 1
25.16	3.539	43	0 2 0
26.32	3.386	38	1 0 -2
32.17	2.782	27	1 2 -1
32.45	2.759	37	1 2 1
34.70	2.585	29	2 0 0
42.11	2.146	19	1 3 0